Simulated PXRD pattern
Compound: Ho2ThF11
Radiation: Cu Kα X-rays
Structure: DFT lattice parameters and positions (GGA-PBE)
Intensities are scaled so that the largest is 100.

Structure:
Cell lengths 8.729, 8.729, 8.729 Å; angles 123.01, 107.65, 98.75 degrees
Fractional positions:
Ho  0.190  0.157  0.347
Ho  0.310  0.657  0.967
Ho  0.690  0.343  0.033
Ho  0.810  0.843  0.653
Th  0.250  0.750  0.500
Th  0.750  0.250  0.500
F  0.000  0.000  0.000
F  0.033  0.462  0.775
F  0.053  0.842  0.631
F  0.187  0.962  0.429
F  0.193  0.889  0.082
F  0.211  0.422  0.369
F  0.289  0.658  0.211
F  0.307  0.389  0.696
F  0.313  0.742  0.775
F  0.447  0.078  0.789
F  0.467  0.242  0.429
F  0.500  0.500  0.000
F  0.533  0.758  0.571
F  0.553  0.922  0.211
F  0.687  0.258  0.225
F  0.693  0.611  0.304
F  0.711  0.342  0.789
F  0.789  0.578  0.631
F  0.807  0.111  0.918
F  0.813  0.038  0.571
F  0.947  0.158  0.369
F  0.967  0.538  0.225

Principal peaks in the range 10° ≤ 2θ ≤ 80°, sorted by position:
two_theta	intensity
13.67	35
20.79	100
21.74	30
23.30	76
24.35	47
26.53	26
28.10	24
42.31	21
42.70	29
44.91	41